Diffraction record for MnGaAg2F6. The powder XRD pattern is calculated, not measured: it uses a crystal structure in Alexandria, relaxed with GGA+U and Cu Ka.
Neutral-atom scattering factors, no anomalous dispersion.

Structural model:
Lattice parameters (Å, degrees): 5.847 5.818 10.057 90.00 125.53 90.00
Fractional positions:
Mn 0.000 0.000 0.000
Mn 0.000 0.500 0.500
Ga 0.500 0.000 0.500
Ga 0.500 0.500 0.000
Ag 0.252 0.001 0.748
Ag 0.252 0.499 0.248
Ag 0.748 0.501 0.752
Ag 0.748 0.999 0.252
F 0.200 0.001 0.263
F 0.200 0.499 0.763
F 0.295 0.736 0.033
F 0.295 0.764 0.533
F 0.300 0.241 0.532
F 0.300 0.259 0.032
F 0.700 0.741 0.968
F 0.700 0.759 0.468
F 0.705 0.236 0.467
F 0.705 0.264 0.967
F 0.800 0.501 0.237
F 0.800 0.999 0.737

Main lines, in order of rising 2θ (10° ≤ 2θ ≤ 90°):
- 2θ = 30.58°, I = 19
- 2θ = 30.77°, I = 100
- 2θ = 37.95°, I = 9
- 2θ = 43.91°, I = 30
- 2θ = 44.27°, I = 14
- 2θ = 54.48°, I = 17
- 2θ = 54.70°, I = 23
- 2θ = 54.86°, I = 8
- 2θ = 64.07°, I = 12
- 2θ = 72.56°, I = 10